No. 1
Diffraction record for Mn6OF11. The powder diffractogram is computed, not measured: it uses a PBE+U-relaxed structure and a wavelength of 1.5418 Å.
Lines closer than 0.1° are merged.

Cell and atoms:
Cell: 4.9643 16.2209 7.6547 Å, 90.00 129.72 90.00°
Atoms (fractional coordinates):
Mn (0.0000, 0.0011, 0.0000)
Mn (0.0000, 0.9989, 0.5000)
Mn (0.6497, 0.1679, 0.6610)
Mn (0.6497, 0.8321, 0.1610)
Mn (0.6656, 0.4960, 0.6601)
Mn (0.6656, 0.5040, 0.1601)
Mn (0.6718, 0.1719, 0.1636)
Mn (0.6718, 0.8281, 0.6636)
Mn (0.9788, 0.3316, 0.4744)
Mn (0.9788, 0.6684, 0.9744)
Mn (0.9935, 0.3291, 0.0179)
Mn (0.9935, 0.6709, 0.5179)
O (0.9447, 0.2819, 0.2412)
O (0.9447, 0.7181, 0.7412)
F (0.1526, 0.2231, 0.9454)
F (0.1526, 0.7769, 0.4454)
F (0.1591, 0.4428, 0.4405)
F (0.1591, 0.5572, 0.9405)
F (0.1654, 0.1083, 0.4364)
F (0.1654, 0.8917, 0.9364)
F (0.4767, 0.2799, 0.7229)
F (0.4767, 0.7201, 0.2229)
F (0.4851, 0.3939, 0.2225)
F (0.4851, 0.6061, 0.7225)
F (0.4951, 0.0612, 0.2221)
F (0.4951, 0.9388, 0.7221)
F (0.6942, 0.1094, 0.9334)
F (0.6942, 0.8906, 0.4334)
F (0.7117, 0.2285, 0.4479)
F (0.7117, 0.7715, 0.9479)
F (0.7161, 0.4433, 0.9389)
F (0.7161, 0.5567, 0.4389)
F (0.9438, 0.0580, 0.7205)
F (0.9438, 0.9420, 0.2205)
F (0.9502, 0.3845, 0.7050)
F (0.9502, 0.6155, 0.2050)

Principal peaks in the range 2θ = 15–90°, most intense first:
2θ (°)	intensity
28.6	100
28.9	100
49.9	49
23.3	42
23.6	36
50.7	36
60.2	30
51.3	30
34.7	23
37.9	21

---

No. 2
Diffraction record for Mn6O7F5. The powder diffractogram is computed, not measured: it uses a PBE+U-relaxed structure and a wavelength of 1.5418 Å.
Lines closer than 0.1° are merged.

Cell and atoms:
Cell: 4.7630 5.6428 7.7098 Å, 84.55 85.30 83.40°
Atoms (fractional coordinates):
Mn (0.0000, 0.0000, 0.0000)
Mn (0.0057, 0.3422, 0.6657)
Mn (0.4960, 0.1730, 0.3286)
Mn (0.5024, 0.8409, 0.6629)
Mn (0.5381, 0.5291, 0.0082)
Mn (0.9874, 0.6721, 0.3194)
O (0.3082, 0.1415, 0.5646)
O (0.3102, 0.7999, 0.8971)
O (0.3140, 0.4787, 0.2268)
O (0.6968, 0.5399, 0.7657)
O (0.6970, 0.8797, 0.4311)
O (0.7031, 0.2154, 0.1001)
O (0.8140, 0.7200, 0.0986)
F (0.1800, 0.6357, 0.5493)
F (0.1890, 0.2896, 0.8996)
F (0.1982, 0.9750, 0.2285)
F (0.8093, 0.3738, 0.4365)
F (0.8163, 0.0479, 0.7644)

Principal peaks in the range 2θ = 15–90°, most intense first:
2θ (°)	intensity
24.8	100
35.1	84
28.5	80
54.9	44
50.7	31
50.8	31
66.9	20
67.1	19
50.9	17
38.9	16

---

No. 3
Diffraction record for Mn12O5F19. The powder diffractogram is computed, not measured: it uses a PBE+U-relaxed structure and a wavelength of 1.5418 Å.
Lines closer than 0.1° are merged.

Cell and atoms:
Cell: 4.8816 5.8493 15.9328 Å, 90.62 90.01 93.32°
Atoms (fractional coordinates):
Mn (0.0000, 0.0000, 0.0000)
Mn (0.0055, 0.3182, 0.8312)
Mn (0.0137, 0.3141, 0.1604)
Mn (0.0200, 0.9945, 0.6749)
Mn (0.0305, 0.0179, 0.3367)
Mn (0.0487, 0.3313, 0.4979)
Mn (0.5036, 0.8116, 0.5003)
Mn (0.5098, 0.4878, 0.3336)
Mn (0.5179, 0.4964, 0.6580)
Mn (0.5302, 0.5240, 0.9965)
Mn (0.5377, 0.8420, 0.1642)
Mn (0.5544, 0.8350, 0.8362)
O (0.2347, 0.2793, 0.3954)
O (0.3028, 0.5477, 0.5507)
O (0.7394, 0.7951, 0.9413)
O (0.8031, 0.0482, 0.7812)
O (0.8093, 0.0490, 0.1030)
F (0.2395, 0.0476, 0.8974)
F (0.2556, 0.2841, 0.7265)
F (0.2570, 0.2720, 0.0481)
F (0.2602, 0.0414, 0.5650)
F (0.2621, 0.0644, 0.2236)
F (0.2837, 0.7696, 0.0562)
F (0.2898, 0.5551, 0.2176)
F (0.2961, 0.5575, 0.8801)
F (0.2970, 0.7830, 0.3862)
F (0.3226, 0.7904, 0.7298)
F (0.7510, 0.5526, 0.1116)
F (0.7509, 0.7837, 0.6074)
F (0.7574, 0.7785, 0.2799)
F (0.7591, 0.5479, 0.7682)
F (0.7590, 0.5648, 0.4418)
F (0.7830, 0.0564, 0.4521)
F (0.7866, 0.2683, 0.2741)
F (0.7929, 0.2979, 0.9412)
F (0.8246, 0.2889, 0.6048)

Principal peaks in the range 2θ = 15–90°, most intense first:
2θ (°)	intensity
28.5	100
23.1	98
28.7	94
50.9	88
29.7	87
29.9	83
24.5	77
60.9	61
61.5	43
50.5	40

---

No. 4
Diffraction record for Mn3O5F. The powder diffractogram is computed, not measured: it uses a PBE+U-relaxed structure and a wavelength of 1.5418 Å.
Lines closer than 0.1° are merged.

Cell and atoms:
Cell: 4.5412 4.5412 9.0041 Å, 90.35 90.35 88.25°
Atoms (fractional coordinates):
Mn (0.0000, 0.0000, 0.0000)
Mn (0.0062, 0.0062, 0.3402)
Mn (0.4769, 0.4769, 0.1675)
Mn (0.5000, 0.5000, 0.5000)
Mn (0.5231, 0.5231, 0.8325)
Mn (0.9938, 0.9938, 0.6598)
O (0.1885, 0.1885, 0.1703)
O (0.1936, 0.1936, 0.5013)
O (0.3012, 0.6909, 0.3339)
O (0.3075, 0.6925, 0.0000)
O (0.3092, 0.6988, 0.6661)
O (0.6909, 0.3012, 0.3339)
O (0.6925, 0.3075, 0.0000)
O (0.6988, 0.3092, 0.6661)
O (0.8064, 0.8064, 0.4987)
O (0.8115, 0.8115, 0.8297)
F (0.2100, 0.2100, 0.8227)
F (0.7900, 0.7900, 0.1773)

Principal peaks in the range 2θ = 15–90°, most intense first:
2θ (°)	intensity
28.2	100
27.4	98
35.8	57
36.0	52
69.4	32
55.0	30
54.3	29
53.9	29
55.1	28
69.8	20

---

No. 5
Diffraction record for Mn3O5F. The powder diffractogram is computed, not measured: it uses a PBE+U-relaxed structure and a wavelength of 1.5418 Å.
Lines closer than 0.1° are merged.

Cell and atoms:
Cell: 5.4530 5.4530 7.2380 Å, 108.60 108.60 70.73°
Atoms (fractional coordinates):
Mn (0.0000, 0.0000, 0.0000)
Mn (0.0000, 0.0000, 0.5000)
Mn (0.3205, 0.3205, 0.3243)
Mn (0.3279, 0.3279, 0.8453)
Mn (0.6721, 0.6721, 0.1547)
Mn (0.6795, 0.6795, 0.6757)
O (0.0264, 0.6355, 0.3328)
O (0.0976, 0.0976, 0.2931)
O (0.2273, 0.2273, 0.0364)
O (0.3063, 0.6937, 0.0000)
O (0.3645, 0.9736, 0.6672)
O (0.6355, 0.0264, 0.3328)
O (0.6937, 0.3063, 0.0000)
O (0.7727, 0.7727, 0.9636)
O (0.9024, 0.9024, 0.7069)
O (0.9736, 0.3645, 0.6672)
F (0.4372, 0.4372, 0.6308)
F (0.5628, 0.5628, 0.3692)

Principal peaks in the range 2θ = 15–90°, most intense first:
2θ (°)	intensity
35.8	100
27.1	98
28.3	94
55.1	53
69.3	31
53.7	30
53.8	29
69.4	19
39.6	18
55.9	16

---

No. 6
Diffraction record for Mn6O7F5. The powder diffractogram is computed, not measured: it uses a PBE+U-relaxed structure and a wavelength of 1.5418 Å.
Lines closer than 0.1° are merged.

Cell and atoms:
Cell: 5.6088 5.6088 7.9316 Å, 111.93 111.93 68.11°
Atoms (fractional coordinates):
Mn (0.0000, 0.0000, 0.0000)
Mn (0.0059, 0.0059, 0.4911)
Mn (0.3374, 0.3374, 0.8306)
Mn (0.3455, 0.3455, 0.3238)
Mn (0.6602, 0.6602, 0.1861)
Mn (0.6671, 0.6671, 0.6511)
O (0.0316, 0.6435, 0.3265)
O (0.3073, 0.6997, 0.0011)
O (0.3670, 0.9731, 0.6626)
O (0.5696, 0.5696, 0.3789)
O (0.6435, 0.0316, 0.3265)
O (0.6997, 0.3073, 0.0011)
O (0.9731, 0.3670, 0.6626)
F (0.1214, 0.1214, 0.2953)
F (0.2236, 0.2236, 0.0236)
F (0.4517, 0.4517, 0.6353)
F (0.7714, 0.7714, 0.9429)
F (0.8921, 0.8921, 0.6962)

Principal peaks in the range 2θ = 15–90°, most intense first:
2θ (°)	intensity
24.6	100
28.4	77
34.8	45
35.5	36
49.7	31
51.3	30
66.1	23
54.5	22
55.0	20
67.4	18

---

No. 7
Diffraction record for Mn3O5F. The powder diffractogram is computed, not measured: it uses a PBE+U-relaxed structure and a wavelength of 1.5418 Å.
Lines closer than 0.1° are merged.

Cell and atoms:
Cell: 5.4642 5.4642 7.1787 Å, 108.52 108.52 70.67°
Atoms (fractional coordinates):
Mn (0.0000, 0.0000, 0.0000)
Mn (0.0000, 0.0000, 0.5000)
Mn (0.3304, 0.3304, 0.3442)
Mn (0.3427, 0.3427, 0.8209)
Mn (0.6573, 0.6573, 0.1791)
Mn (0.6696, 0.6696, 0.6558)
O (0.0265, 0.6388, 0.3291)
O (0.1037, 0.1037, 0.2980)
O (0.3066, 0.6934, 0.0000)
O (0.3612, 0.9735, 0.6709)
O (0.4393, 0.4393, 0.6295)
O (0.5607, 0.5607, 0.3705)
O (0.6388, 0.0265, 0.3291)
O (0.6934, 0.3066, 0.0000)
O (0.8963, 0.8963, 0.7020)
O (0.9735, 0.3612, 0.6709)
F (0.2453, 0.2453, 0.0374)
F (0.7547, 0.7547, 0.9626)

Principal peaks in the range 2θ = 15–90°, most intense first:
2θ (°)	intensity
28.2	100
27.3	98
35.7	56
35.9	53
69.3	32
55.0	30
54.1	30
53.8	29
55.1	28
69.6	20

---

No. 8
Diffraction record for Mn6OF11. The powder diffractogram is computed, not measured: it uses a PBE+U-relaxed structure and a wavelength of 1.5418 Å.
Lines closer than 0.1° are merged.

Cell and atoms:
Cell: 4.9834 5.9085 16.1360 Å, 90.95 90.12 91.01°
Atoms (fractional coordinates):
Mn (0.0013, 0.3318, 0.0847)
Mn (0.0038, 0.6721, 0.2575)
Mn (0.0192, 0.6845, 0.5761)
Mn (0.4951, 0.1718, 0.9157)
Mn (0.4950, 0.1727, 0.2520)
Mn (0.4966, 0.8580, 0.4247)
Mn (0.5034, 0.1420, 0.5753)
Mn (0.5050, 0.8273, 0.7480)
Mn (0.5049, 0.8282, 0.0843)
Mn (0.9808, 0.3155, 0.4239)
Mn (0.9962, 0.3279, 0.7425)
Mn (0.9987, 0.6682, 0.9153)
O (0.2956, 0.8984, 0.5251)
O (0.7044, 0.1016, 0.4749)
F (0.2166, 0.6103, 0.6914)
F (0.2238, 0.3906, 0.5289)
F (0.2246, 0.3907, 0.8561)
F (0.2323, 0.4006, 0.1953)
F (0.2317, 0.6031, 0.0249)
F (0.2462, 0.6295, 0.3686)
F (0.2489, 0.1148, 0.3562)
F (0.2677, 0.8925, 0.1942)
F (0.2693, 0.8938, 0.8563)
F (0.2712, 0.1038, 0.0272)
F (0.2911, 0.1148, 0.6834)
F (0.7089, 0.8852, 0.3166)
F (0.7288, 0.8962, 0.9728)
F (0.7307, 0.1062, 0.1437)
F (0.7323, 0.1075, 0.8058)
F (0.7511, 0.8852, 0.6438)
F (0.7538, 0.3705, 0.6314)
F (0.7683, 0.3969, 0.9751)
F (0.7677, 0.5994, 0.8047)
F (0.7754, 0.6093, 0.1439)
F (0.7762, 0.6094, 0.4711)
F (0.7834, 0.3897, 0.3086)

Principal peaks in the range 2θ = 15–90°, most intense first:
2θ (°)	intensity
28.7	100
28.4	54
29.1	47
23.1	42
23.6	37
50.0	25
49.8	24
60.9	21
38.0	20
50.6	18